Record 1
Computed XRD peak list of Cs2ZrSe4 for CuKα, from the PBE geometry in Alexandria.

Principal peaks in the range 2θ = 10–90°, in order of rising 2θ:
Position (°2θ), I/Imax
10.7, 51
21.0, 39
23.5, 85
24.5, 95
28.3, 43
31.0, 100
32.4, 51
38.1, 40

Structural model:
Lattice parameters (Å, degrees): 7.6346 4.0442 8.7309 90.00 109.34 90.00
Atoms (fractional coordinates):
Cs 0.1948 0.0000 0.3336
Cs 0.8052 0.0000 0.6664
Zr 0.5000 0.5000 0.0000
Se 0.1187 0.5000 0.9301
Se 0.4124 0.0000 0.7774
Se 0.5876 0.0000 0.2226
Se 0.8813 0.5000 0.0699

---

Record 2
Computed XRD peak list of K3Tl4Hg2 for CuKα, from the PBE geometry in Alexandria.

Principal peaks in the range 2θ = 10–90°, in order of rising 2θ:
Position (°2θ), I/Imax
19.0, 87
21.9, 53
29.0, 51
30.0, 27
33.1, 58
33.2, 100
40.0, 60
40.9, 30

Structural model:
Lattice parameters (Å, degrees): 6.7331 6.7331 10.2054 113.05 113.05 47.47
Atoms (fractional coordinates):
K 0.0000 0.0000 0.0000
K 0.3048 0.3048 0.3624
K 0.6952 0.6952 0.6376
Tl 0.9995 0.9995 0.3491
Tl 0.0005 0.0005 0.6509
Tl 0.2758 0.2758 0.9366
Tl 0.7242 0.7242 0.0634
Hg 0.4396 0.4396 0.7569
Hg 0.5604 0.5604 0.2431

---

Record 3
Computed XRD peak list of RbCePm4S8 for CuKα, from the PBE geometry in Alexandria.

Principal peaks in the range 2θ = 10–90°, in order of rising 2θ:
Position (°2θ), I/Imax
12.8, 27
24.6, 100
24.6, 35
29.8, 38
38.9, 44
39.0, 21
42.5, 43
42.7, 42

Structural model:
Lattice parameters (Å, degrees): 8.5161 8.5161 8.5161 59.65 59.65 59.65
Atoms (fractional coordinates):
Rb 0.0000 0.0000 0.0000
Ce 0.6287 0.6287 0.6287
Pm 0.1134 0.6294 0.6294
Pm 0.2507 0.2507 0.2507
Pm 0.6294 0.1134 0.6294
Pm 0.6294 0.6294 0.1134
S 0.3808 0.3808 0.8544
S 0.3808 0.8544 0.3808
S 0.3825 0.3825 0.3825
S 0.4317 0.8567 0.8567
S 0.8544 0.3808 0.3808
S 0.8567 0.4317 0.8567
S 0.8567 0.8567 0.4317
S 0.8570 0.8570 0.8570

---

Record 4
Computed XRD peak list of VCrRh6 for CuKα, from the PBE geometry in Alexandria.

Principal peaks in the range 2θ = 10–90°, in order of rising 2θ:
Position (°2θ), I/Imax
23.4, 7
33.3, 6
41.1, 100
47.8, 48
69.9, 29
84.3, 12
84.4, 23
89.1, 10

Structural model:
Lattice parameters (Å, degrees): 5.3799 5.3799 3.8109 90.00 90.00 90.00
Atoms (fractional coordinates):
V 0.0000 0.0000 0.0000
Cr 0.5000 0.5000 0.0000
Rh 0.0000 0.5000 0.0000
Rh 0.2497 0.2497 0.5000
Rh 0.2497 0.7503 0.5000
Rh 0.5000 0.0000 0.0000
Rh 0.7503 0.2497 0.5000
Rh 0.7503 0.7503 0.5000

---

Record 5
Computed XRD peak list of Ho2PbSe4 for CuKα, from the PBE geometry in Alexandria.

Principal peaks in the range 2θ = 10–90°, in order of rising 2θ:
Position (°2θ), I/Imax
24.0, 100
25.7, 54
29.1, 67
35.2, 38
35.4, 74
35.9, 38
43.2, 57
44.0, 45

Structural model:
Lattice parameters (Å, degrees): 12.8718 4.1162 14.8463 90.00 90.00 90.00
Atoms (fractional coordinates):
Ho 0.0585 0.2500 0.1153
Ho 0.0886 0.2500 0.5905
Ho 0.4114 0.7500 0.0905
Ho 0.4415 0.7500 0.6153
Ho 0.5585 0.2500 0.3847
Ho 0.5886 0.2500 0.9095
Ho 0.9114 0.7500 0.4095
Ho 0.9415 0.7500 0.8847
Pb 0.2404 0.7500 0.8255
Pb 0.2596 0.2500 0.3255
Pb 0.7404 0.7500 0.6745
Pb 0.7596 0.2500 0.1745
Se 0.0430 0.7500 0.7162
Se 0.0907 0.2500 0.9264
Se 0.1248 0.7500 0.4618
Se 0.2023 0.7500 0.1680
Se 0.2977 0.2500 0.6680
Se 0.3752 0.2500 0.9618
Se 0.4093 0.7500 0.4264
Se 0.4570 0.2500 0.2162
Se 0.5430 0.7500 0.7838
Se 0.5907 0.2500 0.5736
Se 0.6248 0.7500 0.0382
Se 0.7023 0.7500 0.3320
Se 0.7977 0.2500 0.8320
Se 0.8752 0.2500 0.5382
Se 0.9093 0.7500 0.0736
Se 0.9570 0.2500 0.2838

---

Record 6
Computed XRD peak list of K4BiCl6 for CuKα, from the PBE geometry in Alexandria.

Principal peaks in the range 2θ = 10–90°, in order of rising 2θ:
Position (°2θ), I/Imax
14.1, 100
24.6, 19
30.2, 30
31.7, 21
32.0, 59
37.8, 17
38.0, 21
52.5, 17

Structural model:
Lattice parameters (Å, degrees): 8.8444 8.8444 8.9272 90.00 90.00 90.00
Atoms (fractional coordinates):
K 0.1662 0.3338 0.2500
K 0.1662 0.3338 0.7500
K 0.3338 0.8338 0.2500
K 0.3338 0.8338 0.7500
K 0.6662 0.1662 0.2500
K 0.6662 0.1662 0.7500
K 0.8338 0.6662 0.2500
K 0.8338 0.6662 0.7500
Bi 0.0000 0.0000 0.0000
Bi 0.5000 0.5000 0.5000
Cl 0.0000 0.0000 0.3028
Cl 0.0000 0.0000 0.6972
Cl 0.1132 0.6745 0.0000
Cl 0.1745 0.6132 0.5000
Cl 0.3255 0.1132 0.0000
Cl 0.3868 0.1745 0.5000
Cl 0.5000 0.5000 0.1972
Cl 0.5000 0.5000 0.8028
Cl 0.6132 0.8255 0.5000
Cl 0.6745 0.8868 0.0000
Cl 0.8255 0.3868 0.5000
Cl 0.8868 0.3255 0.0000

---

Record 7
Computed XRD peak list of KCa3C4O12 for CuKα, from the PBE geometry in Alexandria.

Principal peaks in the range 2θ = 10–90°, in order of rising 2θ:
Position (°2θ), I/Imax
27.9, 100
28.1, 12
34.7, 13
41.4, 18
41.6, 9
44.6, 20
46.1, 15
53.2, 10

Structural model:
Lattice parameters (Å, degrees): 6.6936 6.6936 6.6936 100.98 100.98 100.98
Atoms (fractional coordinates):
K 0.0000 0.0000 0.0000
Ca 0.0000 0.5380 0.4620
Ca 0.4620 0.0000 0.5380
Ca 0.5380 0.4620 0.0000
C 0.0356 0.5000 0.9644
C 0.5000 0.5000 0.5000
C 0.5000 0.9644 0.0356
C 0.9644 0.0356 0.5000
O 0.0094 0.5962 0.8159
O 0.0908 0.9092 0.5000
O 0.1840 0.4038 0.9906
O 0.3743 0.6257 0.5000
O 0.4038 0.9906 0.1840
O 0.5000 0.0908 0.9092
O 0.5000 0.3743 0.6257
O 0.5962 0.8159 0.0094
O 0.6257 0.5000 0.3743
O 0.8159 0.0094 0.5962
O 0.9092 0.5000 0.0908
O 0.9906 0.1840 0.4038

---

Record 8
Computed XRD peak list of Li2LaNd2Au2 for CuKα, from the PBE geometry in Alexandria.

Principal peaks in the range 2θ = 10–90°, in order of rising 2θ:
Position (°2θ), I/Imax
13.2, 25
25.8, 47
28.3, 46
32.1, 100
36.7, 52
42.0, 22
44.0, 48
66.5, 23

Structural model:
Lattice parameters (Å, degrees): 4.1193 4.1193 13.4601 90.00 90.00 120.00
Atoms (fractional coordinates):
Li 0.3333 0.6667 0.0361
Li 0.6667 0.3333 0.9639
La 0.0000 0.0000 0.5000
Nd 0.0000 0.0000 0.2062
Nd 0.0000 0.0000 0.7938
Au 0.3333 0.6667 0.3461
Au 0.6667 0.3333 0.6539

---

Record 9
Computed XRD peak list of GaNi2Pt6 for CuKα, from the PBE geometry in Alexandria.

Principal peaks in the range 2θ = 10–90°, in order of rising 2θ:
Position (°2θ), I/Imax
33.5, 9
40.4, 100
45.9, 18
47.5, 30
68.2, 20
81.1, 13
83.5, 21
87.3, 10

Structural model:
Lattice parameters (Å, degrees): 8.1230 8.1230 3.9553 90.00 90.00 90.00
Atoms (fractional coordinates):
Ga 0.0000 0.0000 0.0000
Ga 0.5000 0.5000 0.5000
Ni 0.1784 0.1784 0.5000
Ni 0.3216 0.6784 0.0000
Ni 0.6784 0.3216 0.0000
Ni 0.8216 0.8216 0.5000
Pt 0.0082 0.3252 0.0000
Pt 0.1503 0.8497 0.5000
Pt 0.1748 0.5082 0.5000
Pt 0.3252 0.0082 0.0000
Pt 0.3497 0.3497 0.0000
Pt 0.4918 0.8252 0.5000
Pt 0.5082 0.1748 0.5000
Pt 0.6503 0.6503 0.0000
Pt 0.6748 0.9918 0.0000
Pt 0.8252 0.4918 0.5000
Pt 0.8497 0.1503 0.5000
Pt 0.9918 0.6748 0.0000

---

Record 10
Computed XRD peak list of Er4ReO10 for CuKα, from the PBE geometry in Alexandria.

Principal peaks in the range 2θ = 10–90°, in order of rising 2θ:
Position (°2θ), I/Imax
29.5, 100
34.1, 11
34.3, 22
49.1, 33
49.3, 17
58.2, 15
58.5, 29
79.7, 12

Structural model:
Lattice parameters (Å, degrees): 6.4094 6.4094 6.4094 99.69 99.69 131.55
Atoms (fractional coordinates):
Er 0.0977 0.3034 0.4011
Er 0.3034 0.9023 0.2057
Er 0.6966 0.0977 0.7943
Er 0.9023 0.6966 0.5989
Re 0.5000 0.5000 0.0000
O 0.0928 0.1768 0.7236
O 0.1768 0.4532 0.0840
O 0.2500 0.7500 0.5000
O 0.3691 0.0928 0.9160
O 0.4532 0.3691 0.2764
O 0.5468 0.6309 0.7236
O 0.6309 0.9072 0.0840
O 0.7500 0.2500 0.5000
O 0.8232 0.5468 0.9160
O 0.9072 0.8232 0.2764

---

Record 11
Computed XRD peak list of Na2Cd2Hg for CuKα, from the PBE geometry in Alexandria.

Principal peaks in the range 2θ = 10–90°, in order of rising 2θ:
Position (°2θ), I/Imax
19.2, 100
25.9, 25
30.2, 37
32.4, 66
36.9, 66
39.0, 27
41.9, 70
54.8, 42

Structural model:
Lattice parameters (Å, degrees): 7.7054 7.7054 4.6159 90.00 90.00 90.00
Atoms (fractional coordinates):
Na 0.1704 0.3296 0.0000
Na 0.3296 0.8296 0.0000
Na 0.6704 0.1704 0.0000
Na 0.8296 0.6704 0.0000
Cd 0.1338 0.6338 0.5000
Cd 0.3662 0.1338 0.5000
Cd 0.6338 0.8662 0.5000
Cd 0.8662 0.3662 0.5000
Hg 0.0000 0.0000 0.5000
Hg 0.5000 0.5000 0.5000

---

What did the eighth record say?
Computed XRD peak list of Li2LaNd2Au2 for CuKα, from the PBE geometry in Alexandria.

Principal peaks in the range 2θ = 10–90°, in order of rising 2θ:
Position (°2θ), I/Imax
13.2, 25
25.8, 47
28.3, 46
32.1, 100
36.7, 52
42.0, 22
44.0, 48
66.5, 23

Structural model:
Lattice parameters (Å, degrees): 4.1193 4.1193 13.4601 90.00 90.00 120.00
Atoms (fractional coordinates):
Li 0.3333 0.6667 0.0361
Li 0.6667 0.3333 0.9639
La 0.0000 0.0000 0.5000
Nd 0.0000 0.0000 0.2062
Nd 0.0000 0.0000 0.7938
Au 0.3333 0.6667 0.3461
Au 0.6667 0.3333 0.6539

---

Repeat the fifth record exactly.
Computed XRD peak list of Ho2PbSe4 for CuKα, from the PBE geometry in Alexandria.

Principal peaks in the range 2θ = 10–90°, in order of rising 2θ:
Position (°2θ), I/Imax
24.0, 100
25.7, 54
29.1, 67
35.2, 38
35.4, 74
35.9, 38
43.2, 57
44.0, 45

Structural model:
Lattice parameters (Å, degrees): 12.8718 4.1162 14.8463 90.00 90.00 90.00
Atoms (fractional coordinates):
Ho 0.0585 0.2500 0.1153
Ho 0.0886 0.2500 0.5905
Ho 0.4114 0.7500 0.0905
Ho 0.4415 0.7500 0.6153
Ho 0.5585 0.2500 0.3847
Ho 0.5886 0.2500 0.9095
Ho 0.9114 0.7500 0.4095
Ho 0.9415 0.7500 0.8847
Pb 0.2404 0.7500 0.8255
Pb 0.2596 0.2500 0.3255
Pb 0.7404 0.7500 0.6745
Pb 0.7596 0.2500 0.1745
Se 0.0430 0.7500 0.7162
Se 0.0907 0.2500 0.9264
Se 0.1248 0.7500 0.4618
Se 0.2023 0.7500 0.1680
Se 0.2977 0.2500 0.6680
Se 0.3752 0.2500 0.9618
Se 0.4093 0.7500 0.4264
Se 0.4570 0.2500 0.2162
Se 0.5430 0.7500 0.7838
Se 0.5907 0.2500 0.5736
Se 0.6248 0.7500 0.0382
Se 0.7023 0.7500 0.3320
Se 0.7977 0.2500 0.8320
Se 0.8752 0.2500 0.5382
Se 0.9093 0.7500 0.0736
Se 0.9570 0.2500 0.2838